# 1
The following is a calculated powder diffractogram of PuZr4ScPa2. It was derived from a PBE-relaxed structure, using Cu Ka.
Lines closer than 0.1° are merged.

The 8 most intense peaks (2θ = 10–90°), sorted by position:
2θ/deg, I (rel.), index
16.73, 32, 0 0 2
33.12, 45, 2 2 0
33.84, 59, 0 0 4
35.08, 100, 0 2 2
37.48, 42, 0 2 -2
38.08, 38, 2 0 -2
43.61, 22, 2 2 4
56.69, 14, 2 -2 0

Cell and atoms:
```
data_PuZr4ScPa2
_symmetry_space_group_name_H-M 'P -1'
_symmetry_Int_Tables_number 2
_cell_length_a 6.3456
_cell_length_b 6.4092
_cell_length_c 10.7502
_cell_angle_alpha 81.96
_cell_angle_beta 81.38
_cell_angle_gamma 61.23
loop_
_symmetry_equiv_pos_as_xyz
'x,y,z'
'-x,-y,-z'
loop_
_atom_site_label
_atom_site_fract_x
_atom_site_fract_y
_atom_site_fract_z
_atom_site_occupancy
Pu1 0.0000 0.0000 0.0000 1
Pu2 0.0000 0.5000 0.5000 1
Zr1 0.2058 0.2150 0.7513 1
Zr2 0.2074 0.7136 0.7520 1
Zr3 0.2928 0.2870 0.2455 1
Zr4 0.2968 0.7857 0.2484 1
Sc1 0.0000 0.5000 0.0000 1
Sc2 0.5000 0.5000 0.0000 1
Pa1 0.0000 0.0000 0.5000 1
Pa2 0.5000 0.0000 0.0000 1
Pa3 0.5000 0.0000 0.5000 1
Pa4 0.5000 0.5000 0.5000 1
```

# 2
The following is a calculated powder diffractogram of Sc3SN2. It was derived from a PBE-relaxed structure, using Cu Ka.
Lines closer than 0.1° are merged.

The 8 most intense peaks (2θ = 10–90°), sorted by position:
2θ/deg, I (rel.), index
25.27, 9, 0 0 4
32.43, 40, 1 0 3
37.28, 100, 1 1 0
38.31, 41, 0 0 6
53.74, 30, 2 0 0
54.53, 51, 1 1 6
64.19, 11, 2 1 3
67.91, 25, 2 0 6

Cell and atoms:
```
data_Sc3SN2
_symmetry_space_group_name_H-M 'I 4/m m m'
_symmetry_Int_Tables_number 139
_symmetry_space_group_name_Hall '-I 4 2'
_cell_length_a 3.4114
_cell_length_b 3.4114
_cell_length_c 14.0953
_cell_angle_alpha 90.00
_cell_angle_beta 90.00
_cell_angle_gamma 90.00
loop_
_atom_site_label
_atom_site_fract_x
_atom_site_fract_y
_atom_site_fract_z
_atom_site_occupancy
Sc1 0.0000 0.0000 0.0000 1
Sc2 0.0000 0.0000 0.3207 1
S1 0.0000 0.0000 0.5000 1
N1 0.0000 0.0000 0.1696 1
```